[1]
Theoretical X-ray diffraction stick pattern of HfSc for Cu Kα (weighted mean of Kα1 and Kα2), from a GGA-PBE-relaxed structure.
Intensities are scaled so that the largest is 100.

Principal peaks in the range 15° ≤ 2θ ≤ 90°, low angle first:
- 2θ = 17.45°, I 42
- 2θ = 32.10°, I 44
- 2θ = 35.33°, I 22
- 2θ = 36.76°, I 100
- 2θ = 48.47°, I 29
- 2θ = 57.22°, I 16
- 2θ = 60.30°, I 11
- 2θ = 64.36°, I 19
- 2θ = 69.06°, I 18
- 2θ = 69.96°, I 15

Structural model:
Cell: 3.2202 3.2202 5.0810 Å, 90.00 90.00 120.00°
Element x y z (fractional)
Hf 0.0000 0.0000 0.0000
Sc 0.6667 0.3333 0.5000

=====

[2]
Theoretical X-ray diffraction stick pattern of Hf3Zr2Sc for Cu Kα (weighted mean of Kα1 and Kα2), from a GGA-PBE-relaxed structure.
Intensities are scaled so that the largest is 100.

Principal peaks in the range 15° ≤ 2θ ≤ 90°, low angle first:
- 2θ = 17.41°, I 19
- 2θ = 32.16°, I 33
- 2θ = 35.23°, I 24
- 2θ = 36.80°, I 100
- 2θ = 48.44°, I 21
- 2θ = 57.34°, I 17
- 2θ = 64.25°, I 20
- 2θ = 69.12°, I 20
- 2θ = 70.10°, I 15
- 2θ = 78.29°, I 5

Structural model:
Cell: 5.5660 5.5660 5.0948 Å, 90.00 90.00 120.00°
Element x y z (fractional)
Hf 0.0000 0.6634 0.0000
Hf 0.3366 0.3366 0.0000
Hf 0.6634 0.0000 0.0000
Zr 0.3333 0.6667 0.5000
Zr 0.6667 0.3333 0.5000
Sc 0.0000 0.0000 0.5000

=====

[3]
Theoretical X-ray diffraction stick pattern of HfSe2 for Cu Kα (weighted mean of Kα1 and Kα2), from a GGA-PBE-relaxed structure.
Intensities are scaled so that the largest is 100.

Principal peaks in the range 15° ≤ 2θ ≤ 90°, low angle first:
- 2θ = 30.94°, I 100
- 2θ = 39.88°, I 65
- 2θ = 48.42°, I 32
- 2θ = 50.69°, I 15
- 2θ = 51.93°, I 23
- 2θ = 58.58°, I 16
- 2θ = 64.47°, I 16
- 2θ = 79.34°, I 14
- 2θ = 79.54°, I 15
- 2θ = 84.57°, I 15

Structural model:
Cell: 3.7596 3.7596 6.2807 Å, 90.00 90.00 120.00°
Element x y z (fractional)
Hf 0.0000 0.0000 0.0000
Se 0.3333 0.6667 0.7487
Se 0.6667 0.3333 0.2513

=====

[4]
Theoretical X-ray diffraction stick pattern of Sr2HfSi for Cu Kα (weighted mean of Kα1 and Kα2), from a GGA-PBE-relaxed structure.
Intensities are scaled so that the largest is 100.

Principal peaks in the range 15° ≤ 2θ ≤ 90°, low angle first:
- 2θ = 20.36°, I 17
- 2θ = 23.55°, I 18
- 2θ = 33.55°, I 100
- 2θ = 39.57°, I 10
- 2θ = 41.40°, I 6
- 2θ = 48.18°, I 18
- 2θ = 54.31°, I 8
- 2θ = 59.99°, I 37
- 2θ = 70.52°, I 12
- 2θ = 80.39°, I 16

Structural model:
Cell: 5.3419 5.3419 5.3419 Å, 60.00 60.00 60.00°
Element x y z (fractional)
Sr 0.0000 0.0000 0.0000
Sr 0.2500 0.2500 0.2500
Hf 0.7500 0.7500 0.7500
Si 0.5000 0.5000 0.5000

=====

[5]
Theoretical X-ray diffraction stick pattern of HfTa3Si2 for Cu Kα (weighted mean of Kα1 and Kα2), from a GGA-PBE-relaxed structure.
Intensities are scaled so that the largest is 100.

Principal peaks in the range 15° ≤ 2θ ≤ 90°, low angle first:
- 2θ = 28.48°, I 21
- 2θ = 35.07°, I 40
- 2θ = 36.38°, I 100
- 2θ = 36.72°, I 99
- 2θ = 45.57°, I 18
- 2θ = 45.78°, I 25
- 2θ = 45.99°, I 16
- 2θ = 63.78°, I 20
- 2θ = 64.00°, I 20
- 2θ = 64.11°, I 16

Structural model:
Cell: 6.2681 5.0896 5.1455 Å, 75.53 51.83 52.64°
Element x y z (fractional)
Hf 0.0000 0.0000 0.0000
Ta 0.1813 0.5027 0.4973
Ta 0.5027 0.1813 0.8187
Ta 0.6749 0.6749 0.3251
Si 0.0927 0.0927 0.4073
Si 0.5927 0.5927 0.9073

=====

[6]
Theoretical X-ray diffraction stick pattern of HfSi2Tc for Cu Kα (weighted mean of Kα1 and Kα2), from a GGA-PBE-relaxed structure.
Intensities are scaled so that the largest is 100.

Principal peaks in the range 15° ≤ 2θ ≤ 90°, low angle first:
- 2θ = 24.56°, I 59
- 2θ = 28.43°, I 6
- 2θ = 40.64°, I 100
- 2θ = 48.06°, I 30
- 2θ = 58.83°, I 17
- 2θ = 64.72°, I 13
- 2θ = 66.61°, I 3
- 2θ = 73.96°, I 34
- 2θ = 79.29°, I 9
- 2θ = 87.99°, I 11

Structural model:
Cell: 4.4395 4.4395 4.4395 Å, 60.00 60.00 60.00°
Element x y z (fractional)
Hf 0.0000 0.0000 0.0000
Si 0.2500 0.2500 0.2500
Si 0.5000 0.5000 0.5000
Tc 0.7500 0.7500 0.7500